For Er3FeO6, a structure optimized by DFT (PBE+U) gives the theoretical powder XRD pattern in this record (CuKα).
Intensities are scaled so that the largest is 100.

Crystal structure
```
data_Er3FeO6
_cell_length_a 7.0661
_cell_length_b 7.0661
_cell_length_c 5.4298
_cell_angle_alpha 90.00
_cell_angle_beta 90.00
_cell_angle_gamma 102.86
_symmetry_space_group_name_H-M 'P 1'
_symmetry_Int_Tables_number 1
loop_
_symmetry_equiv_pos_as_xyz
'x,y,z'
loop_
_atom_site_label
_atom_site_fract_x
_atom_site_fract_y
_atom_site_fract_z
Er1 0.1017 0.8983 0.5000
Er2 0.2015 0.4121 0.4522
Er3 0.4121 0.2015 0.9522
Er4 0.5879 0.7985 0.4522
Er5 0.7985 0.5879 0.9522
Er6 0.8983 0.1017 0.0000
Fe1 0.3076 0.6924 0.9236
Fe2 0.6924 0.3076 0.4236
O1 0.0752 0.6051 0.7392
O2 0.1437 0.1776 0.7260
O3 0.1776 0.1437 0.2260
O4 0.2835 0.7165 0.2703
O5 0.3949 0.9248 0.7392
O6 0.4627 0.5373 0.7633
O7 0.5373 0.4627 0.2633
O8 0.6051 0.0752 0.2392
O9 0.7165 0.2835 0.7703
O10 0.8224 0.8563 0.7260
O11 0.8563 0.8224 0.2260
O12 0.9248 0.3949 0.2392
```

Top 10 peaks for 15° ≤ 2θ ≤ 90°, by angle:
- 20.83°, d = 4.264 Å, rel. 20
- 30.74°, d = 2.909 Å, rel. 100
- 31.05°, d = 2.881 Å, rel. 40
- 31.52°, d = 2.839 Å, rel. 20
- 32.99°, d = 2.715 Å, rel. 21
- 46.27°, d = 1.962 Å, rel. 25
- 46.93°, d = 1.936 Å, rel. 19
- 51.77°, d = 1.766 Å, rel. 20
- 57.52°, d = 1.602 Å, rel. 14
- 60.71°, d = 1.525 Å, rel. 24

---

For Er2FeSbO7, a structure optimized by DFT (PBE+U) gives the theoretical powder XRD pattern in this record (CuKα).
Intensities are scaled so that the largest is 100.

Crystal structure
```
data_Er2FeSbO7
_cell_length_a 7.2610
_cell_length_b 7.2610
_cell_length_c 7.2610
_cell_angle_alpha 120.40
_cell_angle_beta 119.36
_cell_angle_gamma 90.21
_symmetry_space_group_name_H-M 'P 1'
_symmetry_Int_Tables_number 1
loop_
_symmetry_equiv_pos_as_xyz
'x,y,z'
loop_
_atom_site_label
_atom_site_fract_x
_atom_site_fract_y
_atom_site_fract_z
Er1 0.0000 0.0000 0.0000
Er2 0.5000 0.0000 0.0000
Er3 0.5000 0.0000 0.5000
Er4 0.5000 0.5000 0.5000
Fe1 0.0000 0.0000 0.5000
Fe2 0.0000 0.5000 0.0000
Sb1 0.0000 0.5000 0.5000
Sb2 0.5000 0.5000 0.0000
O1 0.0921 0.4200 0.2598
O2 0.0921 0.8323 0.6721
O3 0.0916 0.8416 0.2500
O4 0.3315 0.5815 0.7500
O5 0.3398 0.1677 0.7598
O6 0.3398 0.5800 0.1721
O7 0.3773 0.1273 0.2500
O8 0.6227 0.8727 0.7500
O9 0.6602 0.4200 0.8279
O10 0.6602 0.8323 0.2402
O11 0.6685 0.4185 0.2500
O12 0.9084 0.1584 0.7500
O13 0.9079 0.1677 0.3279
O14 0.9079 0.5800 0.7402
```

Top 10 peaks for 15° ≤ 2θ ≤ 90°, by angle:
- 29.97°, d = 2.981 Å, rel. 100
- 30.29°, d = 2.950 Å, rel. 99
- 34.89°, d = 2.572 Å, rel. 43
- 35.02°, d = 2.562 Å, rel. 21
- 49.75°, d = 1.833 Å, rel. 17
- 50.27°, d = 1.815 Å, rel. 63
- 50.59°, d = 1.804 Å, rel. 15
- 59.36°, d = 1.557 Å, rel. 29
- 59.72°, d = 1.548 Å, rel. 14
- 59.92°, d = 1.544 Å, rel. 42

---

For YErFe2O6, a structure optimized by DFT (PBE+U) gives the theoretical powder XRD pattern in this record (CuKα).
Intensities are scaled so that the largest is 100.

Crystal structure
```
data_YErFe2O6
_cell_length_a 7.7123
_cell_length_b 5.3206
_cell_length_c 5.6385
_cell_angle_alpha 90.00
_cell_angle_beta 90.00
_cell_angle_gamma 90.00
_symmetry_space_group_name_H-M 'P 1'
_symmetry_Int_Tables_number 1
loop_
_symmetry_equiv_pos_as_xyz
'x,y,z'
loop_
_atom_site_label
_atom_site_fract_x
_atom_site_fract_y
_atom_site_fract_z
Y1 0.0000 0.2302 0.0000
Y2 0.0000 0.7698 0.5000
Er1 0.5000 0.2702 0.8615
Er2 0.5000 0.7298 0.3615
Fe1 0.2517 0.2494 0.4312
Fe2 0.2517 0.7506 0.9312
Fe3 0.7483 0.2494 0.4312
Fe4 0.7483 0.7506 0.9312
O1 0.0000 0.3655 0.3888
O2 0.0000 0.6345 0.8888
O3 0.1911 0.0590 0.7373
O4 0.1911 0.9410 0.2373
O5 0.3134 0.4420 0.1258
O6 0.3134 0.5580 0.6258
O7 0.5000 0.1273 0.4788
O8 0.5000 0.8727 0.9788
O9 0.6866 0.4420 0.1258
O10 0.6866 0.5580 0.6258
O11 0.8089 0.0590 0.7373
O12 0.8089 0.9410 0.2373
```

Top 10 peaks for 15° ≤ 2θ ≤ 90°, by angle:
- 23.02°, d = 3.864 Å, rel. 20
- 25.76°, d = 3.459 Å, rel. 28
- 31.74°, d = 2.819 Å, rel. 19
- 32.79°, d = 2.731 Å, rel. 100
- 33.69°, d = 2.660 Å, rel. 23
- 46.96°, d = 1.935 Å, rel. 18
- 47.14°, d = 1.928 Å, rel. 14
- 48.51°, d = 1.877 Å, rel. 14
- 53.01°, d = 1.727 Å, rel. 19
- 59.68°, d = 1.549 Å, rel. 22